1.
# YWO3
Simulated X-ray diffraction stick pattern, λ = 1.5418 Å (Cu Kα). Input: a crystal structure in the Materials Project, relaxed with PBE+U.
No peak broadening, texture or thermal motion is included.

Structure:
```
data_YWO3
_chemical_formula_sum 'Y6 W6 O18'
_space_group_name_H-M_alt 'P 63 c m'
_space_group_IT_number 185
_space_group_name_Hall 'P 6c -2'
_cell_length_a 6.2152
_cell_length_b 6.2152
_cell_length_c 12.6318
_cell_angle_alpha 90.00
_cell_angle_beta 90.00
_cell_angle_gamma 120.00
loop_
_atom_site_label
_atom_site_type_symbol
_atom_site_fract_x
_atom_site_fract_y
_atom_site_fract_z
Y1 Y 0.0000 0.0000 0.0000
Y2 Y 0.3333 0.6667 0.4659
W1 W 0.0000 0.3344 0.2301
O1 O 0.0000 0.0000 0.2024
O2 O 0.0000 0.3087 0.3992
O3 O 0.0000 0.3573 0.0616
O4 O 0.3333 0.6667 0.2569
```

Main lines, sorted by position (2θ = 10–90°):
- 2θ = 14.02°, I 25, (0 0 2)
- 2θ = 28.26°, I 44, (0 0 4)
- 2θ = 29.60°, I 100, (1 1 1)
- 2θ = 32.10°, I 66, (1 1 2)
- 2θ = 35.92°, I 34, (1 1 3)
- 2θ = 46.32°, I 32, (1 1 5)
- 2θ = 50.89°, I 37, (3 0 0)
- 2θ = 52.50°, I 20, (1 1 6)
- 2θ = 59.23°, I 47, (3 0 4)
- 2θ = 82.46°, I 14, (4 1 1)

***

2.
# YW2O4
Simulated X-ray diffraction stick pattern, λ = 1.5418 Å (Cu Kα). Input: a crystal structure in the Materials Project, relaxed with PBE+U.
No peak broadening, texture or thermal motion is included.

Structure:
```
data_YW2O4
_chemical_formula_sum 'Y6 W12 O24'
_space_group_name_H-M_alt 'R -3 m'
_space_group_IT_number 166
_space_group_name_Hall '-R 3 2"'
_cell_length_a 6.6953
_cell_length_b 6.6953
_cell_length_c 15.6956
_cell_angle_alpha 90.00
_cell_angle_beta 90.00
_cell_angle_gamma 120.00
loop_
_atom_site_label
_atom_site_type_symbol
_atom_site_fract_x
_atom_site_fract_y
_atom_site_fract_z
Y1 Y 0.0000 0.0000 0.1206
W1 W 0.0000 0.0000 0.5000
W2 W 0.0000 0.5000 0.0000
O1 O 0.0000 0.0000 0.2627
O2 O 0.0344 0.5172 0.2536
```

Main lines, sorted by position (2θ = 10–90°):
- 2θ = 16.30°, I 66, (1 0 1)
- 2θ = 31.38°, I 55, (0 2 1)
- 2θ = 31.73°, I 100, (1 1 3)
- 2θ = 32.43°, I 53, (0 1 5)
- 2θ = 32.94°, I 73, (2 0 2)
- 2θ = 38.61°, I 59, (0 2 4)
- 2θ = 50.33°, I 28, (0 3 3)
- 2θ = 50.81°, I 35, (1 2 5)
- 2θ = 54.85°, I 48, (2 2 0)
- 2θ = 56.65°, I 43, (2 0 8)

***

3.
# Y2W2O7
Simulated X-ray diffraction stick pattern, λ = 1.5418 Å (Cu Kα). Input: a crystal structure in the Materials Project, relaxed with PBE+U.
No peak broadening, texture or thermal motion is included.

Structure:
```
data_Y2W2O7
_chemical_formula_sum 'Y8 W8 O28'
_space_group_name_H-M_alt 'C 1 2/m 1'
_space_group_IT_number 12
_space_group_name_Hall '-C 2y'
_cell_length_a 12.664
_cell_length_b 7.397
_cell_length_c 7.434
_cell_angle_alpha 90.00
_cell_angle_beta 124.22
_cell_angle_gamma 90.00
loop_
_atom_site_label
_atom_site_type_symbol
_atom_site_fract_x
_atom_site_fract_y
_atom_site_fract_z
Y1 Y 0.000 0.000 0.000
Y2 Y 0.000 0.000 0.500
Y3 Y 0.250 0.250 0.000
W1 W 0.000 0.500 0.000
W2 W 0.000 0.500 0.500
W3 W 0.250 0.250 0.500
O1 O 0.090 0.500 0.848
O2 O 0.120 0.292 0.161
O3 O 0.125 0.000 0.877
O4 O 0.131 0.276 0.605
O5 O 0.161 0.000 0.394
```

Main lines, sorted by position (2θ = 10–90°):
- 2θ = 29.05°, I 51, (0 0 2)
- 2θ = 29.57°, I 100, (2 2 0)
- 2θ = 29.90°, I 50, (4 0 -2)
- 2θ = 34.22°, I 66, (4 0 0)
- 2θ = 48.63°, I 34, (2 2 2)
- 2θ = 49.04°, I 16, (4 0 -4)
- 2θ = 49.28°, I 16, (0 4 0)
- 2θ = 49.74°, I 30, (6 2 -2)
- 2θ = 57.82°, I 16, (2 2 -4)
- 2θ = 58.76°, I 28, (4 4 -2)

***

4.
# YWO3
Simulated X-ray diffraction stick pattern, λ = 1.5418 Å (Cu Kα). Input: a crystal structure in the Materials Project, relaxed with PBE+U.
No peak broadening, texture or thermal motion is included.

Structure:
```
data_YWO3
_chemical_formula_sum 'Y1 W1 O3'
_space_group_name_H-M_alt 'P m -3 m'
_space_group_IT_number 221
_space_group_name_Hall '-P 4 2 3'
_cell_length_a 4.103
_cell_length_b 4.103
_cell_length_c 4.103
_cell_angle_alpha 90.00
_cell_angle_beta 90.00
_cell_angle_gamma 90.00
loop_
_atom_site_label
_atom_site_type_symbol
_atom_site_fract_x
_atom_site_fract_y
_atom_site_fract_z
Y1 Y 0.000 0.000 0.000
W1 W 0.500 0.500 0.500
O1 O 0.000 0.500 0.500
```

Main lines, sorted by position (2θ = 10–90°):
- 2θ = 21.66°, I 21, (1 0 0)
- 2θ = 30.82°, I 100, (1 1 0)
- 2θ = 44.14°, I 29, (2 0 0)
- 2θ = 49.68°, I 9, (2 1 0)
- 2θ = 54.80°, I 40, (2 1 1)
- 2θ = 64.20°, I 18, (2 2 0)
- 2θ = 68.61°, I 4, (3 0 0)
- 2θ = 72.90°, I 17, (3 1 0)
- 2θ = 81.21°, I 6, (2 2 2)
- 2θ = 89.33°, I 22, (3 2 1)

***

5.
# YW3O8
Simulated X-ray diffraction stick pattern, λ = 1.5418 Å (Cu Kα). Input: a crystal structure in the Materials Project, relaxed with PBE+U.
No peak broadening, texture or thermal motion is included.

Structure:
```
data_YW3O8
_chemical_formula_sum 'Y1 W3 O8'
_space_group_name_H-M_alt 'P -1'
_space_group_IT_number 2
_space_group_name_Hall '-P 1'
_cell_length_a 5.231
_cell_length_b 5.800
_cell_length_c 6.273
_cell_angle_alpha 66.79
_cell_angle_beta 68.85
_cell_angle_gamma 86.20
loop_
_atom_site_label
_atom_site_type_symbol
_atom_site_fract_x
_atom_site_fract_y
_atom_site_fract_z
Y1 Y 0.000 0.000 0.000
W1 W 0.237 0.667 0.514
W2 W 0.500 0.500 0.000
O1 O 0.159 0.484 0.302
O2 O 0.207 0.964 0.271
O3 O 0.271 0.736 0.795
O4 O 0.337 0.310 0.684
```

Main lines, sorted by position (2θ = 10–90°):
- 2θ = 16.70°, I 44, (0 1 0)
- 2θ = 25.93°, I 64, (1 1 0)
- 2θ = 29.02°, I 100, (-1 1 1)
- 2θ = 29.86°, I 48, (1 1 2)
- 2θ = 31.08°, I 27, (0 2 1)
- 2θ = 33.38°, I 27, (0 0 2)
- 2θ = 34.52°, I 29, (2 0 1)
- 2θ = 36.98°, I 23, (1 2 2)
- 2θ = 43.68°, I 21, (1 -2 1)
- 2θ = 46.30°, I 20, (2 0 -1)

***

6.
# Y2W2O9
Simulated X-ray diffraction stick pattern, λ = 1.5418 Å (Cu Kα). Input: a crystal structure in the Materials Project, relaxed with PBE+U.
No peak broadening, texture or thermal motion is included.

Structure:
```
data_Y2W2O9
_chemical_formula_sum 'Y8 W8 O36'
_space_group_name_H-M_alt 'P b c n'
_space_group_IT_number 60
_space_group_name_Hall '-P 2n 2ab'
_cell_length_a 23.765
_cell_length_b 5.378
_cell_length_c 5.494
_cell_angle_alpha 90.00
_cell_angle_beta 90.00
_cell_angle_gamma 90.00
loop_
_atom_site_label
_atom_site_type_symbol
_atom_site_fract_x
_atom_site_fract_y
_atom_site_fract_z
Y1 Y 0.203 0.223 0.112
W1 W 0.078 0.251 0.678
O1 O 0.000 0.339 0.750
O2 O 0.061 0.050 0.429
O3 O 0.098 0.460 0.013
O4 O 0.152 0.134 0.723
O5 O 0.241 0.494 0.373
```

Main lines, sorted by position (2θ = 10–90°):
- 2θ = 22.45°, I 45, (6 0 0)
- 2θ = 23.45°, I 100, (1 1 1)
- 2θ = 27.64°, I 65, (4 1 1)
- 2θ = 29.90°, I 87, (5 1 1)
- 2θ = 30.08°, I 22, (8 0 0)
- 2θ = 32.82°, I 21, (1 0 2)
- 2θ = 33.32°, I 27, (0 2 0)
- 2θ = 47.47°, I 21, (1 2 2)
- 2θ = 55.19°, I 23, (4 1 3)
- 2θ = 55.68°, I 23, (13 1 1)

***

7.
# YW3O8
Simulated X-ray diffraction stick pattern, λ = 1.5418 Å (Cu Kα). Input: a crystal structure in the Materials Project, relaxed with PBE+U.
No peak broadening, texture or thermal motion is included.

Structure:
```
data_YW3O8
_chemical_formula_sum 'Y2 W6 O16'
_space_group_name_H-M_alt 'P 1 2/c 1'
_space_group_IT_number 13
_space_group_name_Hall '-P 2yc'
_cell_length_a 5.447
_cell_length_b 5.856
_cell_length_c 10.971
_cell_angle_alpha 90.00
_cell_angle_beta 117.30
_cell_angle_gamma 90.00
loop_
_atom_site_label
_atom_site_type_symbol
_atom_site_fract_x
_atom_site_fract_y
_atom_site_fract_z
Y1 Y 0.000 0.174 0.250
W1 W 0.254 0.349 0.002
W2 W 0.500 0.159 0.750
O1 O 0.201 0.393 0.619
O2 O 0.240 0.096 0.130
O3 O 0.300 0.141 0.858
O4 O 0.317 0.388 0.397
```

Main lines, sorted by position (2θ = 10–90°):
- 2θ = 23.75°, I 78, (0 1 2)
- 2θ = 28.48°, I 100, (1 1 1)
- 2θ = 29.38°, I 91, (1 1 -3)
- 2θ = 32.92°, I 40, (2 0 -2)
- 2θ = 34.79°, I 58, (1 2 -1)
- 2θ = 36.88°, I 24, (0 0 4)
- 2θ = 50.35°, I 31, (0 3 2)
- 2θ = 51.04°, I 29, (1 2 3)
- 2θ = 52.16°, I 28, (1 2 -5)
- 2θ = 60.94°, I 31, (2 3 0)

***

8.
# Y6WO12
Simulated X-ray diffraction stick pattern, λ = 1.5418 Å (Cu Kα). Input: a crystal structure in the Materials Project, relaxed with PBE+U.
No peak broadening, texture or thermal motion is included.

Structure:
```
data_Y6WO12
_chemical_formula_sum 'Y18 W3 O36'
_space_group_name_H-M_alt 'R -3'
_space_group_IT_number 148
_space_group_name_Hall '-R 3'
_cell_length_a 9.8769
_cell_length_b 9.8769
_cell_length_c 9.4194
_cell_angle_alpha 90.00
_cell_angle_beta 90.00
_cell_angle_gamma 120.00
loop_
_atom_site_label
_atom_site_type_symbol
_atom_site_fract_x
_atom_site_fract_y
_atom_site_fract_z
Y1 Y 0.0408 0.2537 0.1432
W1 W 0.0000 0.0000 0.5000
O1 O 0.0313 0.2229 0.9000
O2 O 0.0357 0.1829 0.3871
```

Main lines, sorted by position (2θ = 10–90°):
- 2θ = 21.54°, I 15, (0 1 2)
- 2θ = 22.84°, I 11, (0 2 1)
- 2θ = 28.43°, I 30, (0 0 3)
- 2θ = 29.20°, I 100, (2 1 1)
- 2θ = 33.62°, I 35, (3 -2 2)
- 2θ = 47.78°, I 30, (2 1 4)
- 2θ = 48.79°, I 29, (1 4 0)
- 2θ = 56.54°, I 10, (3 -2 5)
- 2θ = 57.43°, I 23, (1 4 3)
- 2θ = 57.88°, I 13, (6 -4 1)

***

9.
# YW2O4
Simulated X-ray diffraction stick pattern, λ = 1.5418 Å (Cu Kα). Input: a crystal structure in the Materials Project, relaxed with PBE+U.
No peak broadening, texture or thermal motion is included.

Structure:
```
data_YW2O4
_chemical_formula_sum 'Y4 W8 O16'
_space_group_name_H-M_alt 'C 1 2/c 1'
_space_group_IT_number 15
_space_group_name_Hall '-C 2yc'
_cell_length_a 8.482
_cell_length_b 10.045
_cell_length_c 6.057
_cell_angle_alpha 90.00
_cell_angle_beta 133.56
_cell_angle_gamma 90.00
loop_
_atom_site_label
_atom_site_type_symbol
_atom_site_fract_x
_atom_site_fract_y
_atom_site_fract_z
Y1 Y 0.000 0.124 0.250
W1 W 0.000 0.500 0.000
W2 W 0.250 0.250 0.000
O1 O 0.180 0.071 0.088
O2 O 0.185 0.321 0.249
```

Main lines, sorted by position (2θ = 10–90°):
- 2θ = 16.91°, I 32, (1 1 0)
- 2θ = 17.10°, I 34, (1 1 -1)
- 2θ = 30.40°, I 36, (1 3 0)
- 2θ = 30.51°, I 34, (1 3 -1)
- 2θ = 33.45°, I 40, (1 1 1)
- 2θ = 34.21°, I 67, (2 2 0)
- 2θ = 34.62°, I 100, (2 2 -2)
- 2θ = 47.66°, I 28, (1 5 -1)
- 2θ = 55.61°, I 26, (0 4 2)
- 2θ = 56.83°, I 25, (4 4 -2)

***

10.
# Y2W2O9
Simulated X-ray diffraction stick pattern, λ = 1.5418 Å (Cu Kα). Input: a crystal structure in the Materials Project, relaxed with PBE+U.
No peak broadening, texture or thermal motion is included.

Structure:
```
data_Y2W2O9
_chemical_formula_sum 'Y4 W4 O18'
_space_group_name_H-M_alt 'P -1'
_space_group_IT_number 2
_space_group_name_Hall '-P 1'
_cell_length_a 6.735
_cell_length_b 7.129
_cell_length_c 7.465
_cell_angle_alpha 70.76
_cell_angle_beta 84.35
_cell_angle_gamma 82.61
loop_
_atom_site_label
_atom_site_type_symbol
_atom_site_fract_x
_atom_site_fract_y
_atom_site_fract_z
Y1 Y 0.115 0.287 0.375
Y2 Y 0.347 0.740 0.846
W1 W 0.233 0.264 0.946
W2 W 0.341 0.793 0.368
O1 O 0.004 0.764 0.907
O2 O 0.133 0.642 0.381
O3 O 0.171 0.497 0.753
O4 O 0.185 0.912 0.543
O5 O 0.239 0.063 0.843
O6 O 0.318 0.430 0.091
O7 O 0.352 0.070 0.217
O8 O 0.457 0.305 0.467
O9 O 0.461 0.739 0.140
```

Main lines, sorted by position (2θ = 10–90°):
- 2θ = 18.66°, I 69, (1 1 1)
- 2θ = 25.30°, I 40, (1 -1 1)
- 2θ = 26.63°, I 100, (0 2 0)
- 2θ = 26.74°, I 31, (2 0 0)
- 2θ = 27.96°, I 67, (1 0 2)
- 2θ = 28.65°, I 54, (2 1 0)
- 2θ = 29.38°, I 79, (-1 1 2)
- 2θ = 30.37°, I 25, (0 2 2)
- 2θ = 31.17°, I 28, (2 -1 0)
- 2θ = 31.47°, I 28, (1 2 2)